This entry pairs a crystal structure of NaEuDyWO6 with its simulated PXRD pattern. Radiation: copper Kα. Structure: the GGA+U geometry in the Materials Project.

Structural model:
```
NaEuDyWO6
1.0
0.000 4.165 4.165
4.165 0.000 4.165
4.165 4.165 0.000
Na Eu Dy W O
1 1 1 1 6
Direct
0.000 0.000 0.000 Na
0.500 0.500 0.500 Eu
0.750 0.750 0.750 Dy
0.250 0.250 0.250 W
0.016 0.016 0.484 O
0.016 0.484 0.016 O
0.016 0.484 0.484 O
0.484 0.016 0.016 O
0.484 0.016 0.484 O
0.484 0.484 0.016 O
```

The 12 most intense peaks (2θ from 10° to 80°), low angle first:
2theta, d_spacing, I_rel
18.45, 4.809, 16
21.33, 4.165, 21
30.35, 2.945, 100
35.75, 2.511, 9
43.46, 2.082, 30
47.59, 1.911, 4
48.90, 1.863, 9
53.93, 1.700, 41
63.14, 1.472, 18
67.47, 1.388, 4
71.66, 1.317, 18
79.77, 1.202, 6

This entry pairs a crystal structure of EuDyV4O12 with its simulated PXRD pattern. Radiation: copper Kα. Structure: the GGA+U geometry in the Materials Project.

Structural model:
```
EuDyV4O12
1.0
5.350 0.000 0.000
0.000 5.350 0.000
0.000 0.000 7.573
Eu Dy V O
1 1 4 12
Direct
0.000 0.000 0.000 Eu
0.500 0.500 0.500 Dy
0.000 0.500 0.249 V
0.000 0.500 0.751 V
0.500 0.000 0.249 V
0.500 0.000 0.751 V
0.000 0.500 0.000 O
0.000 0.500 0.500 O
0.252 0.252 0.253 O
0.252 0.252 0.747 O
0.252 0.748 0.253 O
0.252 0.748 0.747 O
0.500 0.000 0.000 O
0.500 0.000 0.500 O
0.748 0.252 0.253 O
0.748 0.252 0.747 O
0.748 0.748 0.253 O
0.748 0.748 0.747 O
```

The 12 most intense peaks (2θ from 10° to 80°), low angle first:
2theta, d_spacing, I_rel
20.32, 4.370, 100
33.49, 2.676, 89
39.49, 2.282, 55
41.33, 2.185, 15
48.09, 1.892, 38
52.72, 1.736, 24
54.20, 1.692, 1
59.87, 1.545, 33
63.92, 1.457, 18
70.37, 1.338, 21
74.12, 1.279, 18
75.35, 1.261, 1